Record 1
CsOs: computed PXRD pattern (Cu Ka), based on a structure optimized by DFT (PBE).

Structure:
a b c (Å): 12.5290 12.5290 4.0291
angles (deg): 90.00 90.00 90.00
Space group P4/m (No. 83)
Inequivalent atoms, fractional coordinates:
Cs  0.0701  0.2163  0.0000
Cs  0.2752  0.4043  0.5000
Os  0.0565  0.5784  0.5000
Os  0.1461  0.6167  0.0000

Top 8 peaks for 10 to 90 degrees two-theta, in order of rising 2θ:
index	d (Å)	2theta	intensity
2 1 0	5.603	15.8	226
3 2 0	3.475	25.6	1000
1 3 1	2.825	31.7	558
1 4 1	2.426	37.1	141
3 4 1	2.128	42.5	165
0 0 2	2.015	45.0	317
4 5 1	1.760	52.0	140
3 2 2	1.743	52.5	282

---

Record 2
TiTcAs2: computed PXRD pattern (Cu Ka), based on a structure optimized by DFT (PBE).

Structure:
a b c (Å): 3.3310 3.3917 11.5372
angles (deg): 90.00 90.00 90.00
Space group Imm2 (No. 44)
Inequivalent atoms, fractional coordinates:
Ti  0.0000  0.0000  0.0000
Tc  0.0000  0.5000  0.2472
As  0.0000  0.0000  0.5791
As  0.0000  0.5000  0.8310

Top 8 peaks for 10 to 90 degrees two-theta, in order of rising 2θ:
index	d (Å)	2theta	intensity
0 1 1	3.254	27.4	184
0 0 4	2.884	31.0	193
0 1 3	2.544	35.3	175
1 0 3	2.518	35.7	346
1 1 2	2.197	41.1	1000
0 1 5	1.908	47.7	223
1 0 5	1.897	48.0	179
0 2 0	1.696	54.1	144